Calculated X-ray powder pattern of PmSc3Cu8 for λ = 1.5418 Å (Cu Kα), from a DFT-relaxed cell (GGA-PBE, Alexandria).
Kinematic intensities with the Lorentz-polarization factor, no thermal factor.

Crystal structure
```
PmSc3Cu8
1.0
5.139 0.000 0.000
-2.569 4.450 0.000
0.000 0.000 8.337
Pm Sc Cu
1 3 8
Direct
0.000 0.000 0.000
0.000 0.000 0.396
0.667 0.333 0.483
0.667 0.333 0.859
0.167 0.335 0.679
0.167 0.833 0.679
0.333 0.667 0.431
0.333 0.667 0.933
0.502 0.003 0.191
0.502 0.498 0.191
0.665 0.833 0.679
0.997 0.498 0.191
```

Main lines, sorted by position (15 to 90 degrees two-theta):
- d 3.926, 2θ = 22.65°, I = 21
- d 2.569, 2θ = 34.92°, I = 27
- d 2.357, 2θ = 38.18°, I = 61
- d 2.187, 2θ = 41.28°, I = 100
- d 2.150, 2θ = 42.03°, I = 85
- d 1.963, 2θ = 46.25°, I = 21
- d 1.439, 2θ = 64.79°, I = 24
- d 1.398, 2θ = 66.95°, I = 24
- d 1.334, 2θ = 70.59°, I = 26
- d 1.285, 2θ = 73.75°, I = 24

=====

Calculated X-ray powder pattern of Tb12Nd7Y for λ = 1.5418 Å (Cu Kα), from a DFT-relaxed cell (GGA-PBE, Alexandria).
Kinematic intensities with the Lorentz-polarization factor, no thermal factor.

Crystal structure
```
Tb12Nd7Y
1.0
6.030 3.481 5.439
-6.030 3.481 5.439
0.000 -6.962 5.439
Tb Nd Y
12 7 1
Direct
0.004 0.366 0.883
0.117 0.996 0.634
0.226 0.752 0.353
0.248 0.647 0.774
0.353 0.226 0.752
0.366 0.883 0.004
0.634 0.117 0.996
0.647 0.774 0.248
0.752 0.353 0.226
0.774 0.248 0.647
0.883 0.004 0.366
0.996 0.634 0.117
0.000 0.000 0.000
0.101 0.345 0.421
0.345 0.421 0.101
0.421 0.101 0.345
0.579 0.899 0.655
0.655 0.579 0.899
0.899 0.655 0.579
0.500 0.500 0.500
```

Main lines, sorted by position (15 to 90 degrees two-theta):
- d 3.215, 2θ = 27.75°, I = 14
- d 3.115, 2θ = 28.66°, I = 22
- d 2.932, 2θ = 30.49°, I = 40
- d 2.852, 2θ = 31.37°, I = 100
- d 2.837, 2θ = 31.54°, I = 45
- d 2.768, 2θ = 32.35°, I = 22
- d 2.730, 2θ = 32.81°, I = 47
- d 2.479, 2θ = 36.23°, I = 14
- d 2.166, 2θ = 41.69°, I = 14
- d 1.672, 2θ = 54.92°, I = 23

=====

Calculated X-ray powder pattern of La2Tb2PrTm for λ = 1.5418 Å (Cu Kα), from a DFT-relaxed cell (GGA-PBE, Alexandria).
Kinematic intensities with the Lorentz-polarization factor, no thermal factor.

Crystal structure
```
La2Tb2PrTm
1.0
5.745 0.000 0.000
0.000 10.012 0.000
0.000 0.000 7.097
La Tb Pr Tm
4 4 2 2
Direct
0.000 0.000 0.000
0.000 0.000 0.500
0.500 0.169 0.250
0.500 0.831 0.750
0.000 0.334 0.250
0.000 0.666 0.750
0.500 0.167 0.750
0.500 0.833 0.250
0.500 0.500 0.000
0.500 0.500 0.500
0.000 0.337 0.750
0.000 0.663 0.250
```

Main lines, sorted by position (15 to 90 degrees two-theta):
- d 3.548, 2θ = 25.10°, I = 5
- d 2.889, 2θ = 30.95°, I = 100
- d 2.873, 2θ = 31.13°, I = 22
- d 2.239, 2θ = 40.28°, I = 6
- d 2.045, 2θ = 44.28°, I = 7
- d 2.039, 2θ = 44.43°, I = 14
- d 1.668, 2θ = 55.07°, I = 19
- d 1.661, 2θ = 55.29°, I = 16
- d 1.511, 2θ = 61.37°, I = 20
- d 1.213, 2θ = 78.95°, I = 6

=====

Calculated X-ray powder pattern of Na6Sn2B4SO16 for λ = 1.5418 Å (Cu Kα), from a DFT-relaxed cell (GGA-PBE, Alexandria).
Kinematic intensities with the Lorentz-polarization factor, no thermal factor.

Crystal structure
```
Na6Sn2B4SO16
1.0
0.000 7.115 7.115
7.115 0.000 7.115
7.115 7.115 0.000
Na Sn B S O
12 4 8 2 32
Direct
0.089 0.089 0.661
0.089 0.661 0.089
0.089 0.661 0.661
0.339 0.339 0.911
0.339 0.911 0.339
0.339 0.911 0.911
0.661 0.089 0.089
0.661 0.089 0.661
0.661 0.661 0.089
0.911 0.339 0.339
0.911 0.339 0.911
0.911 0.911 0.339
0.000 0.500 0.500
0.500 0.000 0.500
0.500 0.500 0.000
0.500 0.500 0.500
0.285 0.285 0.285
0.285 0.285 0.646
0.285 0.646 0.285
0.354 0.715 0.715
0.646 0.285 0.285
0.715 0.354 0.715
0.715 0.715 0.354
0.715 0.715 0.715
0.125 0.125 0.125
0.875 0.875 0.875
0.064 0.064 0.064
0.064 0.064 0.307
0.064 0.307 0.064
0.135 0.308 0.407
0.135 0.407 0.651
0.135 0.651 0.308
0.307 0.064 0.064
0.308 0.135 0.651
0.308 0.407 0.135
0.308 0.651 0.407
0.349 0.593 0.692
0.349 0.692 0.865
0.349 0.865 0.593
0.407 0.135 0.308
0.407 0.308 0.651
0.407 0.651 0.135
0.593 0.349 0.865
0.593 0.692 0.349
0.593 0.865 0.692
0.651 0.135 0.407
0.651 0.308 0.135
0.651 0.407 0.308
0.692 0.349 0.593
0.692 0.593 0.865
0.692 0.865 0.349
0.693 0.936 0.936
0.865 0.349 0.692
0.865 0.593 0.349
0.865 0.692 0.593
0.936 0.693 0.936
0.936 0.936 0.693
0.936 0.936 0.936
```

Main lines, sorted by position (15 to 90 degrees two-theta):
- d 4.290, 2θ = 20.70°, I = 100
- d 4.108, 2θ = 21.63°, I = 43
- d 2.738, 2θ = 32.70°, I = 57
- d 2.515, 2θ = 35.69°, I = 58
- d 2.405, 2θ = 37.39°, I = 23
- d 2.145, 2θ = 42.12°, I = 34
- d 1.993, 2θ = 45.52°, I = 19
- d 1.643, 2θ = 55.96°, I = 25
- d 1.632, 2θ = 56.37°, I = 23
- d 1.452, 2θ = 64.12°, I = 18

=====

Calculated X-ray powder pattern of TlCuAg2Se4 for λ = 1.5418 Å (Cu Kα), from a DFT-relaxed cell (GGA-PBE, Alexandria).
Kinematic intensities with the Lorentz-polarization factor, no thermal factor.

Crystal structure
```
TlCuAg2Se4
1.0
-3.628 3.628 3.704
3.628 -3.628 3.704
3.628 3.628 -3.704
Tl Cu Ag Se
1 1 2 4
Direct
0.000 0.000 0.000
0.500 0.500 0.000
0.250 0.750 0.500
0.750 0.250 0.500
0.105 0.105 0.649
0.455 0.455 0.351
0.545 0.895 0.000
0.895 0.545 0.000
```

Main lines, sorted by position (15 to 90 degrees two-theta):
- d 3.628, 2θ = 24.53°, I = 33
- d 3.003, 2θ = 29.75°, I = 87
- d 2.972, 2θ = 30.06°, I = 62
- d 2.566, 2θ = 34.97°, I = 53
- d 1.951, 2θ = 46.56°, I = 100
- d 1.712, 2θ = 53.53°, I = 21
- d 1.623, 2θ = 56.73°, I = 21
- d 1.502, 2θ = 61.78°, I = 19
- d 1.220, 2θ = 78.35°, I = 17
- d 1.180, 2θ = 81.61°, I = 24

=====

Calculated X-ray powder pattern of Zr7Co2Rh2 for λ = 1.5418 Å (Cu Kα), from a DFT-relaxed cell (GGA-PBE, Alexandria).
Kinematic intensities with the Lorentz-polarization factor, no thermal factor.

Crystal structure
```
Zr7Co2Rh2
1.0
-1.618 7.145 4.577
1.618 -7.145 4.577
1.618 7.145 -4.577
Zr Co Rh
7 2 2
Direct
0.000 0.000 0.000
0.020 0.347 0.673
0.068 0.717 0.351
0.367 0.717 0.649
0.426 0.545 0.881
0.665 0.545 0.119
0.674 0.347 0.327
0.274 0.034 0.240
0.794 0.034 0.760
0.304 0.304 0.000
0.724 0.224 0.500
```

Main lines, sorted by position (15 to 90 degrees two-theta):
- d 2.728, 2θ = 32.83°, I = 22
- d 2.676, 2θ = 33.48°, I = 22
- d 2.598, 2θ = 34.53°, I = 55
- d 2.569, 2θ = 34.92°, I = 84
- d 2.320, 2θ = 38.82°, I = 100
- d 2.310, 2θ = 38.99°, I = 39
- d 2.120, 2θ = 42.65°, I = 24
- d 2.113, 2θ = 42.80°, I = 26
- d 1.617, 2θ = 56.95°, I = 34
- d 1.369, 2θ = 68.55°, I = 22